This entry pairs a crystal structure of NaH6N2F2 with its simulated powder diffraction line list. Radiation: a wavelength of 1.5418 Å. Structure: DFT lattice parameters and positions (GGA-PBE).

Crystal structure
a = 3.703 Å, b = 5.319 Å, c = 6.490 Å
α = 98.79°, β = 106.51°, γ = 110.35°
Positions (direct):
Na: 0.000 0.000 0.000
H: 0.199 0.294 0.653
H: 0.222 0.849 0.595
H: 0.251 0.706 0.346
H: 0.749 0.294 0.654
H: 0.778 0.151 0.405
H: 0.801 0.706 0.347
N: 0.070 0.697 0.442
N: 0.930 0.303 0.558
F: 0.488 0.145 0.831
F: 0.512 0.855 0.169

Top 6 peaks for 2θ = 15–90°, low angle first:
2θ (°)  Rel. int.  hkl
18.53  54  0 1 0
26.93  100  0 1 1
32.56  51  1 0 -2
39.28  67  1 1 -2
43.84  24  1 -1 2
52.41  25  1 2 -1